# La12Tb6Cd
Simulated XRD peak list, Cu Kα (weighted mean of Kα1 and Kα2). Input: a cell relaxed with PBE.
Neutral-atom scattering factors, no anomalous dispersion.

Crystal structure
```
data_La12Tb6Cd
_cell_length_a 8.876
_cell_length_b 8.876
_cell_length_c 8.876
_cell_angle_alpha 98.97
_cell_angle_beta 98.97
_cell_angle_gamma 98.97
_symmetry_space_group_name_H-M 'P 1'
_symmetry_Int_Tables_number 1
loop_
_symmetry_equiv_pos_as_xyz
'x,y,z'
loop_
_atom_site_label
_atom_site_fract_x
_atom_site_fract_y
_atom_site_fract_z
La1 0.000 0.260 0.740
La2 0.000 0.740 0.260
La3 0.168 0.581 0.581
La4 0.260 0.000 0.740
La5 0.260 0.740 0.000
La6 0.419 0.419 0.832
La7 0.419 0.832 0.419
La8 0.581 0.168 0.581
La9 0.581 0.581 0.168
La10 0.740 0.000 0.260
La11 0.740 0.260 0.000
La12 0.832 0.419 0.419
Tb1 0.140 0.140 0.406
Tb2 0.140 0.406 0.140
Tb3 0.406 0.140 0.140
Tb4 0.594 0.860 0.860
Tb5 0.860 0.594 0.860
Tb6 0.860 0.860 0.594
Cd1 0.000 0.000 0.000
```

Top 10 peaks for 2θ from 10° to 90°, by intensity:
2θ/deg  d [Å]  I/Imax
31.41  2.848  1000
31.14  2.872  894
30.94  2.890  588
29.03  3.076  351
33.74  2.656  257
48.81  1.866  244
55.86  1.646  242
54.40  1.687  178
57.01  1.615  149
36.04  2.492  147